[1]
Starting from a GGA+U-relaxed structure, the powder diffractogram of LiV2Si2O8 was simulated for Cu Kα (λ = 1.5418 Å).

Most intense lines, 2θ = 10–90°, low angle first:
hkl 1 0 0, 19.65 deg, rel. 55; hkl 1 1 0, 21.92 deg, rel. 25; hkl 0 1 -1, 24.25 deg, rel. 48; hkl 1 1 1, 26.14 deg, rel. 29; hkl 1 -1 0, 32.93 deg, rel. 38; hkl 1 0 -2, 34.75 deg, rel. 100; hkl 1 2 0, 37.13 deg, rel. 39; hkl 1 -1 2, 44.01 deg, rel. 29; hkl 2 0 -2, 49.69 deg, rel. 26; hkl 0 0 4, 58.68 deg, rel. 19; hkl 1 3 2, 64.46 deg, rel. 18; hkl 1 3 -2, 64.58 deg, rel. 18

Cell lengths 4.8831, 4.8834, 6.2928 Å; angles 89.86, 89.89, 67.69 degrees
Space group P1 (No. 1)
Asymmetric unit:
Li 0.0000 0.0000 0.0000 x1
V 0.6743 0.6657 0.2648 x1
V 0.6768 0.6684 0.7498 x1
Si 0.0286 0.0196 0.5002 x1
Si 0.3311 0.3226 0.0016 x1
O 0.3980 0.8868 0.4934 x1
O 0.4433 0.4321 0.7910 x1
O 0.4512 0.9539 0.0126 x1
O 0.4562 0.4466 0.2073 x1
O 0.8959 0.3889 0.4934 x1
O 0.9083 0.8994 0.2886 x1
O 0.9205 0.9104 0.7163 x1
O 0.9625 0.4433 0.0124 x1

[2]
Starting from a GGA+U-relaxed structure, the powder diffractogram of Li3CoB5O10 was simulated for Cu Kα (λ = 1.5418 Å).

Most intense lines, 2θ = 10–90°, low angle first:
hkl 0 0 1, 10.11 deg, rel. 81; hkl 1 0 1, 15.38 deg, rel. 36; hkl 1 1 1, 15.61 deg, rel. 100; hkl 0 1 -1, 17.43 deg, rel. 43; hkl 1 1 -1, 21.10 deg, rel. 63; hkl 1 1 -2, 29.39 deg, rel. 62; hkl 1 2 2, 29.55 deg, rel. 98; hkl 0 2 1, 30.34 deg, rel. 56; hkl 2 0 0, 30.83 deg, rel. 65; hkl 2 0 -1, 35.60 deg, rel. 31; hkl 1 -1 3, 35.92 deg, rel. 40; hkl 3 0 1, 44.63 deg, rel. 31

Cell lengths 6.9470, 7.0974, 9.3770 Å; angles 80.17, 68.95, 61.83 degrees
Space group P-1 (No. 2)
Asymmetric unit:
Li 0.0199 0.1934 0.4643 x2
Li 0.1843 0.0080 0.8375 x2
Li 0.2414 0.4928 0.2485 x2
Co 0.2142 0.5235 0.8843 x2
B 0.2156 0.1683 0.1316 x2
B 0.2555 0.2840 0.6031 x2
B 0.3042 0.8044 0.0737 x2
B 0.3634 0.7502 0.5682 x2
B 0.4104 0.8592 0.2901 x2
O 0.0473 0.3059 0.6222 x2
O 0.1296 0.3796 0.0992 x2
O 0.2188 0.7395 0.7059 x2
O 0.2211 0.0258 0.0420 x2
O 0.2699 0.6937 0.9945 x2
O 0.2720 0.8421 0.4482 x2
O 0.3063 0.0885 0.2502 x2
O 0.3440 0.2163 0.7272 x2
O 0.4004 0.3177 0.4603 x2
O 0.4085 0.7198 0.1877 x2

[3]
Starting from a GGA+U-relaxed structure, the powder diffractogram of La4MgNiO8 was simulated for Cu Kα (λ = 1.5418 Å).

Most intense lines, 2θ = 10–90°, low angle first:
hkl 1 1 1, 23.80 deg, rel. 46; hkl 0 4 0, 28.49 deg, rel. 19; hkl 1 3 1, 31.31 deg, rel. 100; hkl 2 0 0, 32.33 deg, rel. 79; hkl 1 5 1, 42.84 deg, rel. 23; hkl 2 4 0, 43.62 deg, rel. 44; hkl 2 0 2, 46.37 deg, rel. 41; hkl 2 4 2, 55.33 deg, rel. 13; hkl 1 7 1, 56.52 deg, rel. 15; hkl 3 3 1, 57.02 deg, rel. 38; hkl 3 7 1, 76.02 deg, rel. 13; hkl 4 0 2, 77.00 deg, rel. 13

Cell lengths 5.5406, 12.5311, 5.5363 Å; angles 90.00, 90.00, 90.00 degrees
Space group Cmmm (No. 65)
Asymmetric unit:
La 0.0000 0.1367 0.0000 x4
La 0.0000 0.3633 0.5000 x4
Mg 0.0000 0.0000 0.5000 x2
Ni 0.0000 0.5000 0.0000 x2
O 0.0000 0.1787 0.5000 x4
O 0.0000 0.3211 0.0000 x4
O 0.2486 0.0000 0.2510 x8

[4]
Starting from a GGA+U-relaxed structure, the powder diffractogram of K4CaV6O16 was simulated for Cu Kα (λ = 1.5418 Å).

Most intense lines, 2θ = 10–90°, low angle first:
hkl 2 0 0, 13.90 deg, rel. 13; hkl 0 0 1, 14.35 deg, rel. 100; hkl 2 2 -1, 23.30 deg, rel. 21; hkl 3 1 -1, 24.68 deg, rel. 24; hkl 2 2 1, 25.73 deg, rel. 12; hkl 1 3 -1, 26.02 deg, rel. 40; hkl 1 3 1, 27.15 deg, rel. 29; hkl 3 1 1, 28.08 deg, rel. 27; hkl 0 0 2, 28.93 deg, rel. 17; hkl 4 2 0, 31.46 deg, rel. 15; hkl 2 4 0, 31.66 deg, rel. 22; hkl 3 1 -2, 34.06 deg, rel. 14

Cell lengths 12.8824, 12.6134, 6.2385 Å; angles 90.00, 98.39, 90.00 degrees
Space group Cm (No. 8)
Asymmetric unit:
K 0.0000 0.0000 0.0000 x2
K 0.1495 0.5000 0.1140 x2
K 0.3507 0.1760 0.1099 x4
Ca 0.4557 0.5000 0.4759 x2
V 0.0429 0.2463 0.6638 x4
V 0.1762 0.0000 0.6206 x2
V 0.2934 0.3616 0.6629 x4
V 0.4402 0.0000 0.6688 x2
O 0.0073 0.3886 0.7827 x4
O 0.0122 0.2493 0.3957 x4
O 0.0869 0.1003 0.7154 x4
O 0.1271 0.0000 0.3491 x2
O 0.1897 0.2900 0.7495 x4
O 0.2996 0.5000 0.7669 x2
O 0.3055 0.3814 0.3945 x4
O 0.3130 0.0000 0.7676 x2
O 0.4155 0.3047 0.7861 x4
O 0.4243 0.0000 0.3967 x2

[5]
Starting from a GGA+U-relaxed structure, the powder diffractogram of Li7Mn5O12 was simulated for Cu Kα (λ = 1.5418 Å).

Most intense lines, 2θ = 10–90°, low angle first:
hkl 2 0 -2, 12.20 deg, rel. 9; hkl 4 0 0, 18.27 deg, rel. 100; hkl 3 1 -3, 35.34 deg, rel. 29; hkl 2 0 -6, 36.30 deg, rel. 11; hkl 7 1 -3, 42.65 deg, rel. 64; hkl 2 0 6, 44.42 deg, rel. 27; hkl 5 1 3, 47.65 deg, rel. 7; hkl 11 1 -3, 56.32 deg, rel. 9; hkl 14 0 -6, 61.58 deg, rel. 8; hkl 0 2 0, 62.22 deg, rel. 9; hkl 9 1 3, 63.16 deg, rel. 15; hkl 5 1 -9, 63.38 deg, rel. 16

Cell lengths 21.4918, 2.9842, 15.1804 Å; angles 90.00, 115.34, 90.00 degrees
Space group Cm (No. 8)
Asymmetric unit:
Li 0.0000 0.0000 0.0000 x2
Li 0.0000 0.5000 0.5002 x2
Li 0.0013 0.0000 0.3454 x2
Li 0.0011 0.5000 0.8455 x2
Li 0.0068 0.0000 0.6774 x2
Li 0.0068 0.5000 0.1777 x2
Li 0.2529 0.0000 0.5903 x2
Li 0.2529 0.5000 0.0905 x2
Li 0.2585 0.0000 0.9223 x2
Li 0.2584 0.5000 0.4226 x2
Li 0.2597 0.0000 0.2680 x2
Li 0.2595 0.5000 0.7680 x2
Li 0.3798 0.0000 0.8839 x2
Li 0.3798 0.5000 0.3840 x2
Mn 0.1290 0.0000 0.9666 x2
Mn 0.1290 0.5000 0.4669 x2
Mn 0.1299 0.0000 0.6335 x2
Mn 0.1298 0.5000 0.1338 x2
Mn 0.1306 0.0000 0.3009 x2
Mn 0.1306 0.5000 0.8021 x2
Mn 0.3781 0.0000 0.5452 x2
Mn 0.3781 0.5000 0.0452 x2
Mn 0.3815 0.0000 0.2229 x2
Mn 0.3815 0.5000 0.7229 x2
O 0.0700 0.0000 0.4964 x2
O 0.0702 0.5000 0.9964 x2
O 0.0716 0.0000 0.1635 x2
O 0.0720 0.0000 0.8286 x2
O 0.0720 0.5000 0.3286 x2
O 0.0716 0.5000 0.6636 x2
O 0.1880 0.0000 0.1043 x2
O 0.1877 0.0000 0.4394 x2
O 0.1881 0.5000 0.6044 x2
O 0.1877 0.5000 0.9395 x2
O 0.1896 0.0000 0.7715 x2
O 0.1896 0.5000 0.2715 x2
O 0.3212 0.0000 0.4156 x2
O 0.3212 0.5000 0.9157 x2
O 0.3258 0.0000 0.7320 x2
O 0.3258 0.5000 0.2320 x2
O 0.3271 0.0000 0.0741 x2
O 0.3271 0.5000 0.5741 x2
O 0.4325 0.5000 0.1938 x2
O 0.4326 0.0000 0.6938 x2
O 0.4339 0.0000 0.0360 x2
O 0.4338 0.5000 0.5359 x2
O 0.4384 0.0000 0.3523 x2
O 0.4385 0.5000 0.8524 x2

[6]
Starting from a GGA+U-relaxed structure, the powder diffractogram of Li4V3OF11 was simulated for Cu Kα (λ = 1.5418 Å).

Most intense lines, 2θ = 10–90°, low angle first:
hkl 0 0 3, 16.81 deg, rel. 100; hkl 1 1 -1, 24.46 deg, rel. 45; hkl 1 1 2, 24.62 deg, rel. 43; hkl 1 -1 1, 25.03 deg, rel. 42; hkl -1 1 2, 25.21 deg, rel. 41; hkl 0 2 1, 32.49 deg, rel. 19; hkl 0 0 6, 33.99 deg, rel. 25; hkl 2 1 2, 38.42 deg, rel. 13; hkl -2 1 2, 39.22 deg, rel. 12; hkl 2 2 1, 47.04 deg, rel. 16; hkl -2 2 1, 48.36 deg, rel. 14; hkl 1 1 8, 49.43 deg, rel. 14

Cell lengths 5.2825, 5.5133, 16.0182 Å; angles 80.94, 89.68, 88.51 degrees
Space group P-1 (No. 2)
Asymmetric unit:
Li 0.0109 0.2631 0.0656 x2
Li 0.2022 0.3564 0.3211 x2
Li 0.3168 0.1860 0.6581 x2
Li 0.4824 0.7727 0.0638 x2
V 0.0000 0.0000 0.5000 x1
V 0.0119 0.3073 0.8366 x2
V 0.4812 0.8407 0.8348 x2
V 0.5000 0.5000 0.5000 x1
O 0.1887 0.0077 0.8683 x2
F 0.0799 0.3793 0.7169 x2
F 0.0873 0.0618 0.3835 x2
F 0.1276 0.6708 0.0484 x2
F 0.1920 0.3547 0.1889 x2
F 0.1959 0.6885 0.5201 x2
F 0.2980 0.1905 0.5346 x2
F 0.3076 0.5073 0.8744 x2
F 0.3276 0.8400 0.1844 x2
F 0.3686 0.1803 0.0480 x2
F 0.4236 0.5447 0.3808 x2
F 0.4251 0.8692 0.7153 x2

[7]
Starting from a GGA+U-relaxed structure, the powder diffractogram of LiMn7O12 was simulated for Cu Kα (λ = 1.5418 Å).

Most intense lines, 2θ = 10–90°, low angle first:
hkl 1 1 0, 16.88 deg, rel. 19; hkl 2 0 0, 23.95 deg, rel. 7; hkl 2 1 1, 29.45 deg, rel. 11; hkl 2 2 0, 34.13 deg, rel. 100; hkl 3 1 0, 38.31 deg, rel. 10; hkl 3 2 1, 45.69 deg, rel. 6; hkl 4 0 0, 49.04 deg, rel. 30; hkl 3 3 0, 52.23 deg, rel. 4; hkl 4 2 0, 55.29 deg, rel. 3; hkl 4 2 2, 61.10 deg, rel. 52; hkl 4 4 0, 71.88 deg, rel. 13; hkl 6 2 0, 82.02 deg, rel. 16

Cell lengths 7.4301, 7.4301, 7.4301 Å; angles 90.00, 90.00, 90.00 degrees
Space group Im-3 (No. 204)
Asymmetric unit:
Li 0.0000 0.0000 0.0000 x2
Mn 0.0000 0.0000 0.5000 x6
Mn 0.2500 0.2500 0.2500 x8
O 0.0000 0.3110 0.1823 x24

[8]
Starting from a GGA+U-relaxed structure, the powder diffractogram of Li2VCrP2H2O10 was simulated for Cu Kα (λ = 1.5418 Å).

Most intense lines, 2θ = 10–90°, low angle first:
hkl 0 1 0, 17.64 deg, rel. 29; hkl 1 0 -1, 18.46 deg, rel. 27; hkl 1 0 0, 18.79 deg, rel. 35; hkl 1 -1 0, 22.30 deg, rel. 20; hkl -1 1 1, 25.65 deg, rel. 30; hkl 0 1 1, 25.89 deg, rel. 21; hkl 1 0 -2, 26.51 deg, rel. 59; hkl 0 1 -2, 26.74 deg, rel. 100; hkl 1 1 0, 29.05 deg, rel. 69; hkl -1 1 2, 34.70 deg, rel. 18; hkl 1 -2 0, 35.94 deg, rel. 29; hkl 2 1 -2, 41.64 deg, rel. 17

Cell lengths 5.1659, 5.4269, 7.3967 Å; angles 106.65, 109.03, 97.89 degrees
Space group P-1 (No. 2)
Asymmetric unit:
Li 0.2473 0.3971 0.3234 x2
V 0.5000 0.0000 0.0000 x1
Cr 0.5000 0.0000 0.5000 x1
P 0.1747 0.3582 0.7305 x2
H 0.1397 0.9396 0.1626 x2
O 0.1332 0.7500 0.4310 x2
O 0.1958 0.6553 0.8409 x2
O 0.2242 0.2051 0.8802 x2
O 0.3378 0.0502 0.2275 x2
O 0.3857 0.3371 0.6193 x2

[9]
Starting from a GGA+U-relaxed structure, the powder diffractogram of Li4Fe5SnO12 was simulated for Cu Kα (λ = 1.5418 Å).

Most intense lines, 2θ = 10–90°, low angle first:
hkl 0 0 2, 17.12 deg, rel. 100; hkl 2 0 0, 33.91 deg, rel. 10; hkl 1 3 -1, 35.20 deg, rel. 20; hkl 1 3 1, 35.41 deg, rel. 17; hkl 2 0 -2, 37.83 deg, rel. 10; hkl 2 0 2, 38.63 deg, rel. 11; hkl 1 3 -3, 43.05 deg, rel. 18; hkl 1 3 3, 43.60 deg, rel. 21; hkl 1 3 -5, 56.24 deg, rel. 10; hkl 1 3 5, 56.98 deg, rel. 10; hkl 0 6 0, 61.38 deg, rel. 13; hkl 3 3 1, 61.79 deg, rel. 8

Cell lengths 5.2883, 9.0623, 10.3622 Å; angles 90.00, 91.41, 90.00 degrees
Space group C2/m (No. 12)
Asymmetric unit:
Li 0.1209 0.2363 0.2540 x8
Fe 0.0000 0.0000 0.5000 x2
Fe 0.0000 0.1629 0.0000 x4
Fe 0.0000 0.3356 0.5000 x4
Sn 0.0000 0.5000 0.0000 x2
O 0.1562 0.3249 0.8909 x8
O 0.1565 0.1768 0.6071 x8
O 0.1598 0.0000 0.8995 x4
O 0.1716 0.5000 0.5932 x4